Entry 1:
Diffraction record for BaSi2. The powder XRD pattern is theoretical, not measured: it uses a cell relaxed with GGA-PBE and Cu Ka.
Intensities are scaled so that the largest is 100.

Crystal structure
abc: 9.009 6.778 11.602
angles: 90.00 90.00 90.00
Space group Pnma (No. 62)
Asymmetric unit:
1 Ba 0.015 0.250 0.191 x4
2 Ba 0.159 0.750 0.407 x4
3 Si 0.083 0.750 0.092 x4
4 Si 0.194 0.073 0.647 x8
5 Si 0.198 0.250 0.467 x4

The 12 most intense peaks (10 to 80 degrees two-theta), low angle first:
two_theta	I/Imax	h k l
22.46	76	1 1 2
24.96	100	2 1 1
26.30	58	0 2 0
26.54	61	0 1 3
30.77	49	3 0 1
32.16	26	1 2 2
33.99	23	2 2 1
36.63	42	2 2 2
40.67	23	2 2 3
40.89	23	3 2 1
43.04	27	4 1 1
45.49	23	3 1 4



Entry 2:
Diffraction record for SrIn2. The powder XRD pattern is theoretical, not measured: it uses a cell relaxed with GGA-PBE and Cu Ka.
Intensities are scaled so that the largest is 100.

Crystal structure
abc: 5.0967 5.0967 8.1273
angles: 90.00 90.00 120.00
Space group P6_3/mmc (No. 194)
Asymmetric unit:
1 Sr 0.0000 0.0000 0.2500 x2
2 In 0.3333 0.6667 0.0454 x4

The 12 most intense peaks (10 to 80 degrees two-theta), low angle first:
two_theta	I/Imax	h k l
22.93	18	1 0 1
29.89	100	1 0 2
35.22	96	1 1 0
39.01	32	1 0 3
41.84	13	1 1 2
46.85	28	2 0 2
53.56	13	2 0 3
58.06	15	1 1 4
59.94	27	2 1 2
60.72	15	1 0 5
63.20	17	3 0 0
65.74	13	2 1 3